This entry pairs a crystal structure of Np5S8 with its calculated PXRD pattern. Radiation: a wavelength of 1.5418 Å. Structure: a DFT-relaxed cell (PBE, Alexandria).
No peak broadening, texture or thermal motion is included.

Structural model:
Cell: 7.5440 7.5440 9.3328 Å, 123.83 123.83 64.82°
Fractional coordinates of all 13 atoms:
Np 0.0000 0.0000 0.0000
Np 0.2561 0.7439 0.5000
Np 0.2826 0.2826 0.0029
Np 0.7174 0.7174 0.9971
Np 0.7439 0.2561 0.5000
S 0.0039 0.0039 0.3040
S 0.0040 0.5595 0.8366
S 0.4405 0.9960 0.1634
S 0.4584 0.4584 0.6537
S 0.5416 0.5416 0.3463
S 0.5595 0.0040 0.8366
S 0.9960 0.4405 0.1634
S 0.9961 0.9961 0.6960

Most intense lines, 15 to 90 degrees two-theta, low angle first:
- 25.41 deg, I 100
- 28.68 deg, I 17
- 29.29 deg, I 34
- 37.57 deg, I 17
- 37.90 deg, I 26
- 38.50 deg, I 33
- 44.79 deg, I 42
- 52.18 deg, I 22